Diffraction record for Na2MnO4. The powder XRD pattern is calculated, not measured: it uses a DFT-relaxed cell (GGA+U, Alexandria) and Cu Kα X-rays.

Structure:
```
data_Na2MnO4
_cell_length_a 5.8570
_cell_length_b 5.8570
_cell_length_c 6.7411
_cell_angle_alpha 90.00
_cell_angle_beta 90.00
_cell_angle_gamma 120.00
_symmetry_space_group_name_H-M 'P 63 m c'
_symmetry_Int_Tables_number 186
_symmetry_space_group_name_Hall 'P 6c -2c'
loop_
_atom_site_label
_atom_site_type_symbol
_atom_site_fract_x
_atom_site_fract_y
_atom_site_fract_z
Na1 Na 0.0000 0.0000 0.0000
Na2 Na 0.3333 0.6667 0.3872
Mn1 Mn 0.3333 0.6667 0.8216
O1 O 0.1782 0.3564 0.7363
O2 O 0.3333 0.6667 0.0642
```

The 6 most intense peaks (10° ≤ 2θ ≤ 90°), low angle first:
Position (°2θ), d [Å], I/Imax, hkl
21.9, 4.053, 87.9, 1 0 1
30.5, 2.928, 100.0, 1 1 0
31.9, 2.807, 27.2, 1 0 2
40.8, 2.211, 30.1, 1 1 2
44.1, 2.054, 24.3, 1 0 3
63.5, 1.464, 22.8, 2 2 0